1.
Sm2In8Ni: simulated powder X-ray diffraction pattern (Cu Ka), based on a PBE-relaxed structure.

Top 6 peaks for 2θ = 15–90°, by angle:
two_theta	Rel. int.
30.81	43.9
35.00	100.0
36.74	21.7
38.62	56.1
54.36	27.4
67.55	44.0

Structure:
Lattice parameters (Å, degrees): 4.663 4.663 12.230 90.00 90.00 90.00
Fractional coordinates of all 11 atoms:
Sm  0.000  0.000  0.193
Sm  0.000  0.000  0.807
In  0.000  0.500  0.000
In  0.000  0.500  0.380
In  0.000  0.500  0.620
In  0.500  0.000  0.000
In  0.500  0.000  0.380
In  0.500  0.000  0.620
In  0.500  0.500  0.192
In  0.500  0.500  0.808
Ni  0.000  0.000  0.500

=====

2.
In2NiSn2: simulated powder X-ray diffraction pattern (Cu Ka), based on a PBE-relaxed structure.

Top 6 peaks for 2θ = 15–90°, by angle:
two_theta	Rel. int.
28.63	52.4
31.79	22.6
36.61	100.0
39.26	56.6
51.38	23.7
69.44	30.5

Structure:
Lattice parameters (Å, degrees): 11.717 11.717 11.717 157.41 157.41 32.16
Fractional coordinates of all 10 atoms:
In  0.062  0.312  0.750
In  0.312  0.062  0.250
In  0.688  0.938  0.750
In  0.938  0.688  0.250
Ni  0.125  0.875  0.250
Ni  0.875  0.125  0.750
Sn  0.200  0.450  0.750
Sn  0.450  0.200  0.250
Sn  0.550  0.800  0.750
Sn  0.800  0.550  0.250

=====

3.
SrIn2Ni4: simulated powder X-ray diffraction pattern (Cu Ka), based on a PBE-relaxed structure.

Top 6 peaks for 2θ = 15–90°, by angle:
two_theta	Rel. int.
15.78	22.5
31.87	51.2
35.75	62.1
42.60	100.0
48.64	31.5
54.17	22.9

Structure:
Lattice parameters (Å, degrees): 6.877 6.877 6.877 109.46 109.46 109.49
Fractional coordinates of all 14 atoms:
Sr  0.250  0.250  0.000
Sr  0.750  0.750  0.000
In  0.172  0.672  0.845
In  0.328  0.172  0.500
In  0.672  0.828  0.500
In  0.828  0.328  0.155
Ni  0.035  0.779  0.500
Ni  0.221  0.721  0.256
Ni  0.279  0.535  0.500
Ni  0.465  0.965  0.744
Ni  0.535  0.035  0.256
Ni  0.721  0.465  0.500
Ni  0.779  0.279  0.744
Ni  0.965  0.221  0.500

=====

4.
Sr3InNi3: simulated powder X-ray diffraction pattern (Cu Ka), based on a PBE-relaxed structure.

Top 6 peaks for 2θ = 15–90°, by angle:
two_theta	Rel. int.
29.08	44.5
30.00	56.4
31.30	87.2
33.74	100.0
36.88	64.4
41.33	56.9

Structure:
Lattice parameters (Å, degrees): 6.073 6.073 14.005 90.00 90.00 137.84
Fractional coordinates of all 14 atoms:
Sr  0.003  0.997  0.750
Sr  0.280  0.720  0.107
Sr  0.280  0.720  0.393
Sr  0.720  0.280  0.607
Sr  0.720  0.280  0.893
Sr  0.997  0.003  0.250
In  0.000  0.000  0.000
In  0.000  0.000  0.500
Ni  0.328  0.672  0.750
Ni  0.426  0.574  0.594
Ni  0.426  0.574  0.906
Ni  0.574  0.426  0.094
Ni  0.574  0.426  0.406
Ni  0.672  0.328  0.250